(1)
LaSmB4Os4: theoretical X-ray powder pattern (Cu Ka), based on a structure optimized by DFT (PBE).
Intensities are scaled so that the largest is 100.

The 10 most intense peaks (15 to 90 degrees two-theta), by angle:
h k l	two_theta	d [Å]	I (rel.)
1 1 1	18.7	4.733	19
1 1 3	31.4	2.849	94
2 2 0	33.4	2.679	100
0 4 0	39.4	2.285	33
1 3 3	42.3	2.137	46
3 1 3	50.5	1.808	26
3 3 3	58.5	1.578	25
1 5 3	59.2	1.561	15
2 6 0	67.7	1.383	16
0 8 0	85.0	1.142	26

Cell and atoms:
abc: 6.6153 9.1388 10.0922
angles: 90.00 90.00 90.00
Space group F222 (No. 22)
Asymmetric unit:
La 0.0000 0.0000 0.0000 (multiplicity 4)
Sm 0.2500 0.2500 0.2500 (multiplicity 4)
B 0.0000 0.1834 0.5000 (multiplicity 8)
B 0.2500 0.0641 0.7500 (multiplicity 8)
Os 0.0000 0.0000 0.3630 (multiplicity 8)
Os 0.2500 0.2500 0.6135 (multiplicity 8)

(2)
Ba4Gd2Cd3S10: theoretical X-ray powder pattern (Cu Ka), based on a structure optimized by DFT (PBE).
Intensities are scaled so that the largest is 100.

The 10 most intense peaks (15 to 90 degrees two-theta), by angle:
h k l	two_theta	d [Å]	I (rel.)
0 2 7	25.2	3.538	39
0 4 5	25.7	3.466	27
1 3 0	25.9	3.442	43
1 3 1	26.1	3.414	32
1 1 5	27.4	3.251	28
1 1 6	29.6	3.017	100
0 6 2	30.3	2.948	61
1 5 4	35.4	2.538	25
2 0 0	43.2	2.093	62
2 6 2	53.7	1.707	24

Cell and atoms:
abc: 4.1872 18.1266 26.9001
angles: 90.00 90.00 90.00
Space group Cmc2_1 (No. 36)
Asymmetric unit:
Ba 0.0000 0.0757 0.0000 (multiplicity 4)
Ba 0.0000 0.0967 0.1823 (multiplicity 4)
Ba 0.0000 0.3380 0.9544 (multiplicity 4)
Ba 0.0000 0.3395 0.2344 (multiplicity 4)
Gd 0.0000 0.0036 0.3435 (multiplicity 4)
Gd 0.0000 0.4209 0.0974 (multiplicity 4)
Cd 0.0000 0.2811 0.5752 (multiplicity 4)
Cd 0.0000 0.3389 0.8056 (multiplicity 4)
Cd 0.0000 0.3448 0.3878 (multiplicity 4)
S 0.0000 0.0756 0.6648 (multiplicity 4)
S 0.0000 0.0906 0.5280 (multiplicity 4)
S 0.0000 0.1509 0.8331 (multiplicity 4)
S 0.0000 0.1556 0.3626 (multiplicity 4)
S 0.0000 0.2682 0.1118 (multiplicity 4)
S 0.0000 0.2874 0.7214 (multiplicity 4)
S 0.0000 0.2920 0.4753 (multiplicity 4)
S 0.0000 0.4262 0.5906 (multiplicity 4)
S 0.0000 0.4832 0.7767 (multiplicity 4)
S 0.0000 0.4889 0.4149 (multiplicity 4)

(3)
Cs2NaPaOF5: theoretical X-ray powder pattern (Cu Ka), based on a structure optimized by DFT (PBE).
Intensities are scaled so that the largest is 100.

The 10 most intense peaks (15 to 90 degrees two-theta), by angle:
h k l	two_theta	d [Å]	I (rel.)
1 0 1	17.2	5.170	58
2 0 0	28.1	3.179	50
1 1 2	28.2	3.159	100
2 1 1	33.1	2.708	25
2 2 0	40.1	2.248	34
0 0 4	40.6	2.220	16
3 1 2	49.8	1.832	43
2 0 4	50.1	1.820	20
2 2 4	58.4	1.580	21
3 3 2	65.7	1.421	19

Cell and atoms:
abc: 6.3579 6.3579 8.8813
angles: 90.00 90.00 90.00
Space group I4mm (No. 107)
Asymmetric unit:
Cs 0.0000 0.5000 0.0000 (multiplicity 4)
Na 0.0000 0.0000 0.2395 (multiplicity 2)
Pa 0.0000 0.0000 0.7582 (multiplicity 2)
O 0.0000 0.0000 0.9869 (multiplicity 2)
F 0.0000 0.0000 0.4968 (multiplicity 2)
F 0.2475 0.2475 0.2472 (multiplicity 8)

(4)
Dy2YFe2Co6Ni: theoretical X-ray powder pattern (Cu Ka), based on a structure optimized by DFT (PBE).
Intensities are scaled so that the largest is 100.

The 10 most intense peaks (15 to 90 degrees two-theta), by angle:
h k l	two_theta	d [Å]	I (rel.)
1 0 7	33.3	2.694	48
1 1 0	35.8	2.507	55
0 1 8	36.3	2.472	39
0 2 1	41.8	2.163	40
1 1 6	42.5	2.126	100
0 2 4	44.4	2.042	18
2 0 5	45.9	1.979	23
0 1 11	46.5	1.953	22
0 3 6	69.0	1.361	22
2 2 0	75.9	1.254	24

Cell and atoms:
abc: 5.0145 5.0145 24.0498
angles: 90.00 90.00 120.00
Space group R-3m (No. 166, hexagonal axes)
Asymmetric unit:
Dy 0.0000 0.0000 0.1404 (multiplicity 6)
Y 0.0000 0.0000 0.0000 (multiplicity 3)
Fe 0.0000 0.0000 0.3336 (multiplicity 6)
Co 0.0008 0.5004 0.0807 (multiplicity 18)
Ni 0.0000 0.0000 0.5000 (multiplicity 3)

(5)
Pb5Au4: theoretical X-ray powder pattern (Cu Ka), based on a structure optimized by DFT (PBE).
Intensities are scaled so that the largest is 100.

The 10 most intense peaks (15 to 90 degrees two-theta), by angle:
h k l	two_theta	d [Å]	I (rel.)
1 0 2	27.7	3.226	45
1 1 0	30.6	2.917	70
0 0 3	32.0	2.795	35
1 1 1	32.5	2.755	27
1 0 3	36.8	2.445	26
2 0 1	37.2	2.419	45
2 0 2	41.7	2.164	100
2 0 4	57.1	1.613	21
2 2 0	63.8	1.459	28
2 2 3	73.2	1.293	21

Cell and atoms:
abc: 5.8345 5.8345 8.3837
angles: 90.00 90.00 120.00
Space group P6/mmm (No. 191)
Asymmetric unit:
Pb 0.0000 0.0000 0.0000 (multiplicity 1)
Pb 0.3333 0.6667 0.3077 (multiplicity 4)
Au 0.0000 0.0000 0.5000 (multiplicity 1)
Au 0.0000 0.5000 0.0000 (multiplicity 3)

(6)
Tb4SmMg: theoretical X-ray powder pattern (Cu Ka), based on a structure optimized by DFT (PBE).
Intensities are scaled so that the largest is 100.

The 10 most intense peaks (15 to 90 degrees two-theta), by angle:
h k l	two_theta	d [Å]	I (rel.)
0 1 5	27.2	3.281	76
1 1 0	32.4	2.763	100
1 0 7	33.5	2.671	31
0 1 8	37.0	2.428	21
2 0 5	42.8	2.114	23
0 2 7	47.3	1.921	12
1 2 5	54.7	1.679	22
3 0 0	57.8	1.595	19
2 1 7	58.5	1.577	13
2 2 0	67.8	1.382	12

Cell and atoms:
abc: 5.5268 5.5268 22.5340
angles: 90.00 90.00 120.00
Space group R-3m (No. 166, hexagonal axes)
Asymmetric unit:
Tb 0.0000 0.0000 0.1324 (multiplicity 6)
Tb 0.0000 0.0000 0.2828 (multiplicity 6)
Sm 0.0000 0.0000 0.5000 (multiplicity 3)
Mg 0.0000 0.0000 0.0000 (multiplicity 3)

(7)
LuBiNO: theoretical X-ray powder pattern (Cu Ka), based on a structure optimized by DFT (PBE).
Intensities are scaled so that the largest is 100.

The 10 most intense peaks (15 to 90 degrees two-theta), by angle:
h k l	two_theta	d [Å]	I (rel.)
0 2 0	27.0	3.300	15
1 1 0	27.6	3.234	27
0 0 2	28.3	3.159	35
0 2 1	30.6	2.925	44
1 1 1	31.1	2.879	100
1 3 0	48.1	1.892	21
1 1 3	51.8	1.765	18
1 3 2	56.7	1.623	22
2 0 2	57.6	1.600	18
2 2 1	59.0	1.566	14

Cell and atoms:
abc: 3.7097 6.5999 6.3177
angles: 90.00 90.00 90.00
Space group Pmc2_1 (No. 26)
Asymmetric unit:
Lu 0.0000 0.1803 0.0000 (multiplicity 2)
Bi 0.5000 0.3324 0.5678 (multiplicity 2)
N 0.5000 0.3556 0.9361 (multiplicity 2)
O 0.0000 0.0621 0.2988 (multiplicity 2)

(8)
K2Ba2Zn3: theoretical X-ray powder pattern (Cu Ka), based on a structure optimized by DFT (PBE).
Intensities are scaled so that the largest is 100.

The 10 most intense peaks (15 to 90 degrees two-theta), by angle:
h k l	two_theta	d [Å]	I (rel.)
0 1 2	18.8	4.724	39
1 1 0	30.9	2.896	100
0 1 8	31.1	2.878	98
1 1 6	36.4	2.465	24
2 0 8	44.4	2.041	35
3 0 0	54.9	1.672	19
1 2 8	55.0	1.668	37
1 0 16	55.4	1.658	18
3 1 8	73.2	1.293	15
2 1 16	73.5	1.289	15

Cell and atoms:
abc: 5.7918 5.7918 28.1059
angles: 90.00 90.00 120.00
Space group R3m (No. 160, hexagonal axes)
Asymmetric unit:
K 0.0000 0.0000 0.0000 (multiplicity 3)
K 0.0000 0.0000 0.4989 (multiplicity 3)
Ba 0.0000 0.0000 0.2496 (multiplicity 3)
Ba 0.0000 0.0000 0.7476 (multiplicity 3)
Zn 0.0000 0.0000 0.3719 (multiplicity 3)
Zn 0.0000 0.0000 0.6239 (multiplicity 3)
Zn 0.0000 0.0000 0.8769 (multiplicity 3)

Q: Number 3 is which compound?
A: Cs2NaPaOF5